1.
For Sr2Zn3Au6, a DFT-relaxed cell (PBE, OQMD) gives the calculated X-ray powder pattern in this record (Cu Kα, 1.54184 Å).
Neutral-atom scattering factors, no anomalous dispersion.

Atomic structure:
```
Sr2Zn3Au6
1.0
4.261 2.460 7.395
-4.261 2.460 7.395
0.000 -4.921 7.395
Sr Zn Au
4 6 12
direct
0.092 0.092 0.092
0.408 0.408 0.408
0.592 0.592 0.592
0.908 0.908 0.908
0.058 0.250 0.442
0.250 0.442 0.058
0.442 0.058 0.250
0.558 0.942 0.750
0.750 0.558 0.942
0.942 0.750 0.558
0.021 0.637 0.293
0.137 0.521 0.793
0.207 0.863 0.479
0.293 0.021 0.637
0.363 0.707 0.979
0.479 0.207 0.863
0.521 0.793 0.137
0.637 0.293 0.021
0.707 0.979 0.363
0.793 0.137 0.521
0.863 0.479 0.207
0.979 0.363 0.707
```

Top 10 peaks for 15 to 90 degrees two-theta, in order of rising 2θ:
2θ = 20.8°, intensity 458
2θ = 24.1°, intensity 428
2θ = 32.0°, intensity 825
2θ = 36.5°, intensity 1000
2θ = 38.1°, intensity 279
2θ = 42.4°, intensity 838
2θ = 44.2°, intensity 635
2θ = 49.3°, intensity 193
2θ = 62.9°, intensity 293
2θ = 67.0°, intensity 215

---

2.
For LaPr2Ni8Pt, a DFT-relaxed cell (PBE, OQMD) gives the calculated X-ray powder pattern in this record (Cu Kα, 1.54184 Å).
Neutral-atom scattering factors, no anomalous dispersion.

Atomic structure:
```
LaPr2Ni8Pt
1.0
2.547 1.470 8.451
-2.547 1.470 8.451
0.000 -2.941 8.451
La Pr Ni Pt
1 2 8 1
direct
0.000 0.000 0.000
0.136 0.136 0.136
0.864 0.864 0.864
0.077 0.580 0.580
0.333 0.333 0.333
0.420 0.420 0.923
0.420 0.923 0.420
0.580 0.077 0.580
0.580 0.580 0.077
0.667 0.667 0.667
0.923 0.420 0.420
0.500 0.500 0.500
```

Top 10 peaks for 15 to 90 degrees two-theta, in order of rising 2θ:
2θ = 34.9°, intensity 561
2θ = 35.2°, intensity 588
2θ = 41.1°, intensity 174
2θ = 41.4°, intensity 1000
2θ = 41.6°, intensity 189
2θ = 44.3°, intensity 201
2θ = 44.8°, intensity 237
2θ = 63.0°, intensity 197
2θ = 67.4°, intensity 227
2θ = 74.5°, intensity 214

---

3.
For Nb3AgS4, a DFT-relaxed cell (PBE, OQMD) gives the calculated X-ray powder pattern in this record (Cu Kα, 1.54184 Å).
Neutral-atom scattering factors, no anomalous dispersion.

Atomic structure:
```
Nb3AgS4
1.0
8.878 0.000 0.000
-4.439 7.689 0.000
0.000 0.000 4.357
Nb Ag S
6 2 8
direct
0.134 0.648 0.250
0.352 0.486 0.250
0.486 0.134 0.750
0.514 0.866 0.250
0.648 0.514 0.750
0.866 0.352 0.750
0.000 0.000 0.000
0.000 0.000 0.500
0.020 0.329 0.250
0.309 0.980 0.250
0.329 0.309 0.750
0.333 0.667 0.750
0.667 0.333 0.250
0.671 0.691 0.250
0.691 0.020 0.750
0.980 0.671 0.750
```

Top 10 peaks for 15 to 90 degrees two-theta, in order of rising 2θ:
2θ = 20.0°, intensity 317
2θ = 23.1°, intensity 482
2θ = 23.5°, intensity 646
2θ = 30.8°, intensity 884
2θ = 37.2°, intensity 1000
2θ = 42.4°, intensity 497
2θ = 43.2°, intensity 414
2θ = 45.9°, intensity 667
2θ = 52.5°, intensity 312
2θ = 54.7°, intensity 255

---

4.
For Ta4AlZnC2, a DFT-relaxed cell (PBE, OQMD) gives the calculated X-ray powder pattern in this record (Cu Kα, 1.54184 Å).
Neutral-atom scattering factors, no anomalous dispersion.

Atomic structure:
```
Ta4AlZnC2
1.0
3.115 0.000 0.000
-1.557 2.697 0.000
0.000 0.000 13.819
Ta Al Zn C
4 1 1 2
direct
0.000 0.000 0.161
0.000 0.000 0.839
0.333 0.667 0.339
0.333 0.667 0.661
0.000 0.000 0.500
0.333 0.667 0.000
0.667 0.333 0.248
0.667 0.333 0.752
```

Top 10 peaks for 15 to 90 degrees two-theta, in order of rising 2θ:
2θ = 25.8°, intensity 99
2θ = 33.2°, intensity 230
2θ = 33.9°, intensity 173
2θ = 38.7°, intensity 1000
2θ = 39.1°, intensity 198
2θ = 52.2°, intensity 150
2θ = 59.3°, intensity 202
2θ = 70.6°, intensity 158
2θ = 73.1°, intensity 155
2θ = 73.4°, intensity 191

---

5.
For Li4Pd2O5, a DFT-relaxed cell (PBE, OQMD) gives the calculated X-ray powder pattern in this record (Cu Kα, 1.54184 Å).
Neutral-atom scattering factors, no anomalous dispersion.

Atomic structure:
```
Li4Pd2O5
1.0
2.099 -6.275 0.000
2.099 6.275 0.000
0.000 0.000 4.201
Li Pd O
4 2 5
direct
0.000 0.000 0.000
0.186 0.814 0.500
0.500 0.500 0.500
0.814 0.186 0.500
0.337 0.663 0.000
0.663 0.337 0.000
0.167 0.833 0.000
0.346 0.654 0.500
0.500 0.500 0.000
0.654 0.346 0.500
0.833 0.167 0.000
```

Top 10 peaks for 15 to 90 degrees two-theta, in order of rising 2θ:
2θ = 21.2°, intensity 1000
2θ = 22.3°, intensity 576
2θ = 30.2°, intensity 575
2θ = 30.9°, intensity 226
2θ = 37.1°, intensity 441
2θ = 43.1°, intensity 598
2θ = 43.3°, intensity 281
2θ = 48.6°, intensity 214
2θ = 53.5°, intensity 232
2θ = 62.7°, intensity 338

---

6.
For TlAg9, a DFT-relaxed cell (PBE, OQMD) gives the calculated X-ray powder pattern in this record (Cu Kα, 1.54184 Å).
Neutral-atom scattering factors, no anomalous dispersion.

Atomic structure:
```
TlAg9
1.0
2.955 0.000 0.000
0.000 3.924 0.000
0.000 0.000 40.553
Tl Ag
2 18
direct
0.250 0.250 0.133
0.750 0.750 0.867
0.250 0.250 0.220
0.250 0.250 0.295
0.250 0.250 0.370
0.250 0.250 0.444
0.250 0.250 0.518
0.250 0.250 0.593
0.250 0.250 0.667
0.250 0.250 0.742
0.250 0.250 0.817
0.750 0.750 0.183
0.750 0.750 0.258
0.750 0.750 0.333
0.750 0.750 0.407
0.750 0.750 0.482
0.750 0.750 0.556
0.750 0.750 0.630
0.750 0.750 0.705
0.750 0.750 0.780
```

Top 10 peaks for 15 to 90 degrees two-theta, in order of rising 2θ:
2θ = 36.8°, intensity 794
2θ = 38.1°, intensity 1000
2θ = 38.6°, intensity 267
2θ = 42.1°, intensity 539
2θ = 43.8°, intensity 161
2θ = 46.3°, intensity 282
2θ = 62.9°, intensity 108
2θ = 64.3°, intensity 300
2θ = 75.2°, intensity 188
2θ = 80.3°, intensity 110

---

7.
For TbErZr2Sb2, a DFT-relaxed cell (PBE, OQMD) gives the calculated X-ray powder pattern in this record (Cu Kα, 1.54184 Å).
Neutral-atom scattering factors, no anomalous dispersion.

Atomic structure:
```
TbErZr2Sb2
1.0
-2.138 2.138 8.297
2.138 -2.138 8.297
2.138 2.138 -8.297
Tb Er Zr Sb
1 1 2 2
direct
0.000 0.000 0.000
0.354 0.354 0.000
0.178 0.678 0.500
0.678 0.178 0.500
0.544 0.544 0.000
0.811 0.811 0.000
```

Top 10 peaks for 15 to 90 degrees two-theta, in order of rising 2θ:
2θ = 29.5°, intensity 492
2θ = 31.5°, intensity 976
2θ = 32.4°, intensity 431
2θ = 34.2°, intensity 612
2θ = 36.8°, intensity 1000
2θ = 42.3°, intensity 736
2θ = 54.2°, intensity 545
2θ = 55.5°, intensity 309
2θ = 71.0°, intensity 308
2θ = 73.7°, intensity 253

---

8.
For SrLiTmS3, a DFT-relaxed cell (PBE, OQMD) gives the calculated X-ray powder pattern in this record (Cu Kα, 1.54184 Å).
Neutral-atom scattering factors, no anomalous dispersion.

Atomic structure:
```
SrLiTmS3
1.0
7.598 0.000 0.000
0.000 3.949 0.000
-2.565 0.000 8.992
Sr Li Tm S
2 2 2 6
direct
0.249 0.250 0.291
0.751 0.750 0.709
0.085 0.250 0.589
0.915 0.750 0.411
0.307 0.750 0.847
0.693 0.250 0.153
0.067 0.250 0.837
0.244 0.750 0.544
0.441 0.750 0.146
0.559 0.250 0.854
0.756 0.250 0.456
0.933 0.750 0.163
```

Top 10 peaks for 15 to 90 degrees two-theta, in order of rising 2θ:
2θ = 19.7°, intensity 272
2θ = 20.2°, intensity 378
2θ = 24.4°, intensity 398
2θ = 24.6°, intensity 581
2θ = 26.0°, intensity 302
2θ = 28.7°, intensity 247
2θ = 32.9°, intensity 1000
2θ = 33.4°, intensity 234
2θ = 37.0°, intensity 404
2θ = 42.3°, intensity 271

---

9.
For AgH9C7S2O4F4, a DFT-relaxed cell (PBE, OQMD) gives the calculated X-ray powder pattern in this record (Cu Kα, 1.54184 Å).
Neutral-atom scattering factors, no anomalous dispersion.

Atomic structure:
```
AgH9C7S2O4F4
1.0
6.572 0.000 0.000
0.788 7.916 0.000
1.217 0.354 10.524
Ag H C S O F
2 18 14 4 8 8
direct
0.189 0.471 0.069
0.811 0.529 0.931
0.021 0.131 0.396
0.049 0.354 0.380
0.078 0.724 0.315
0.106 0.891 0.046
0.264 0.204 0.338
0.264 0.595 0.748
0.301 0.814 0.735
0.312 0.991 0.953
0.356 0.879 0.099
0.644 0.121 0.901
0.688 0.009 0.047
0.699 0.186 0.265
0.736 0.405 0.252
0.736 0.796 0.662
0.894 0.109 0.954
0.922 0.276 0.685
0.951 0.646 0.620
0.979 0.869 0.604
0.098 0.230 0.340
0.222 0.250 0.789
0.232 0.715 0.795
0.271 0.883 0.015
0.341 0.163 0.672
0.359 0.653 0.351
0.462 0.288 0.585
0.538 0.712 0.415
0.641 0.347 0.649
0.659 0.837 0.328
0.729 0.117 0.985
0.768 0.285 0.205
0.778 0.750 0.211
0.902 0.770 0.660
0.042 0.226 0.178
0.357 0.689 0.937
0.643 0.311 0.063
0.958 0.774 0.822
0.040 0.313 0.777
0.191 0.753 0.375
0.320 0.255 0.882
0.390 0.530 0.283
0.610 0.470 0.717
0.680 0.745 0.118
0.809 0.247 0.625
0.960 0.687 0.223
0.211 0.092 0.601
0.324 0.424 0.559
0.468 0.786 0.528
0.480 0.034 0.709
0.520 0.966 0.291
0.532 0.214 0.472
0.676 0.576 0.441
0.789 0.908 0.399
```

Top 10 peaks for 15 to 90 degrees two-theta, in order of rising 2θ:
2θ = 16.8°, intensity 441
2θ = 19.9°, intensity 757
2θ = 20.8°, intensity 544
2θ = 27.4°, intensity 380
2θ = 27.8°, intensity 520
2θ = 30.7°, intensity 534
2θ = 31.8°, intensity 1000
2θ = 32.8°, intensity 287
2θ = 35.5°, intensity 422
2θ = 36.4°, intensity 283

---

10.
For TbPaCu2Sb4, a DFT-relaxed cell (PBE, OQMD) gives the calculated X-ray powder pattern in this record (Cu Kα, 1.54184 Å).
Neutral-atom scattering factors, no anomalous dispersion.

Atomic structure:
```
TbPaCu2Sb4
1.0
4.351 0.000 0.000
0.000 4.351 0.000
0.000 0.000 9.656
Tb Pa Cu Sb
1 1 2 4
direct
0.000 0.000 0.000
0.500 0.500 0.502
0.000 0.500 0.260
0.500 0.000 0.260
0.000 0.000 0.430
0.000 0.500 0.751
0.500 0.000 0.751
0.500 0.500 0.101
```

Top 10 peaks for 15 to 90 degrees two-theta, in order of rising 2θ:
2θ = 22.4°, intensity 98
2θ = 27.6°, intensity 91
2θ = 34.6°, intensity 1000
2θ = 41.5°, intensity 330
2θ = 51.8°, intensity 119
2θ = 55.2°, intensity 90
2θ = 57.0°, intensity 104
2θ = 60.2°, intensity 109
2θ = 68.5°, intensity 103
2θ = 71.3°, intensity 220

---

11.
For K2ZnH6Ir, a DFT-relaxed cell (PBE, OQMD) gives the calculated X-ray powder pattern in this record (Cu Kα, 1.54184 Å).
Neutral-atom scattering factors, no anomalous dispersion.

Atomic structure:
```
K2ZnH6Ir
1.0
0.000 3.860 3.860
3.860 0.000 3.860
3.860 3.860 0.000
K Zn H Ir
2 1 6 1
direct
0.250 0.250 0.250
0.750 0.750 0.750
0.000 0.000 0.000
0.276 0.276 0.724
0.276 0.724 0.276
0.276 0.724 0.724
0.724 0.276 0.276
0.724 0.276 0.724
0.724 0.724 0.276
0.500 0.500 0.500
```

Top 10 peaks for 15 to 90 degrees two-theta, in order of rising 2θ:
2θ = 19.9°, intensity 275
2θ = 23.0°, intensity 339
2θ = 32.8°, intensity 1000
2θ = 38.7°, intensity 152
2θ = 40.5°, intensity 99
2θ = 47.1°, intensity 187
2θ = 53.1°, intensity 156
2θ = 58.6°, intensity 364
2θ = 68.8°, intensity 114
2θ = 78.3°, intensity 153

---

12.
For PrCoSn2Ir, a DFT-relaxed cell (PBE, OQMD) gives the calculated X-ray powder pattern in this record (Cu Kα, 1.54184 Å).
Neutral-atom scattering factors, no anomalous dispersion.

Atomic structure:
```
PrCoSn2Ir
1.0
4.462 0.000 0.000
0.000 4.462 0.000
0.000 0.000 10.427
Pr Co Sn Ir
2 2 4 2
direct
0.250 0.250 0.248
0.750 0.750 0.752
0.250 0.250 0.622
0.750 0.750 0.378
0.250 0.250 0.858
0.250 0.750 0.500
0.750 0.250 0.500
0.750 0.750 0.142
0.250 0.750 0.000
0.750 0.250 0.000
```

Top 10 peaks for 15 to 90 degrees two-theta, in order of rising 2θ:
2θ = 17.0°, intensity 116
2θ = 32.7°, intensity 275
2θ = 33.2°, intensity 1000
2θ = 40.4°, intensity 525
2θ = 45.1°, intensity 224
2θ = 48.2°, intensity 140
2θ = 52.9°, intensity 139
2θ = 58.5°, intensity 179
2θ = 60.9°, intensity 124
2θ = 68.9°, intensity 248